No. 1
Diffraction record for Pr2Te2N. The powder XRD pattern is computed, not measured: it uses a DFT-relaxed cell (PBE, Alexandria) and CuKα.
Kinematic intensities with the Lorentz-polarization factor, no thermal factor.

Most intense lines, 2θ = 10–90°, by intensity:
28.3 deg, intensity 100.0, (2 1 1); 28.7 deg, intensity 65.6, (0 0 2); 35.2 deg, intensity 58.9, (2 3 1); 34.6 deg, intensity 40.2, (1 4 1); 29.1 deg, intensity 37.7, (0 4 0); 41.3 deg, intensity 33.2, (0 4 2); 40.9 deg, intensity 26.0, (3 2 1); 50.6 deg, intensity 24.2, (2 1 3); 24.7 deg, intensity 20.0, (1 3 0); 63.6 deg, intensity 18.4, (1 8 1)

Atomic structure:
```
data_Pr2Te2N
_chemical_formula_sum 'Pr8 Te8 N4'
_cell_length_a 7.655
_cell_length_b 12.281
_cell_length_c 6.227
_cell_angle_alpha 90.00
_cell_angle_beta 90.00
_cell_angle_gamma 90.00
_symmetry_space_group_name_H-M 'I b a m'
_symmetry_Int_Tables_number 72
_symmetry_space_group_name_Hall '-I 2 2c'
loop_
_atom_site_label
_atom_site_fract_x
_atom_site_fract_y
_atom_site_fract_z
Pr1 0.178 0.092 0.000
Te1 0.111 0.356 0.000
N1 0.000 0.000 0.250
```

---

No. 2
Diffraction record for Pr4Te3N2. The powder XRD pattern is computed, not measured: it uses a DFT-relaxed cell (PBE, Alexandria) and CuKα.
Kinematic intensities with the Lorentz-polarization factor, no thermal factor.

Most intense lines, 2θ = 10–90°, by intensity:
29.9 deg, intensity 100.0, (1 3 2); 29.3 deg, intensity 75.6, (2 2 1); 27.2 deg, intensity 45.5, (1 1 3); 26.6 deg, intensity 43.0, (1 3 1); 24.6 deg, intensity 36.7, (1 2 2); 33.5 deg, intensity 29.1, (2 0 3); 34.6 deg, intensity 28.7, (0 2 4); 58.9 deg, intensity 21.7, (2 3 6); 37.7 deg, intensity 20.3, (3 1 1); 45.9 deg, intensity 19.9, (0 6 0)

Atomic structure:
```
data_Pr4Te3N2
_chemical_formula_sum 'Pr16 Te12 N8'
_cell_length_a 7.479
_cell_length_b 11.870
_cell_length_c 11.516
_cell_angle_alpha 90.00
_cell_angle_beta 90.00
_cell_angle_gamma 90.00
_symmetry_space_group_name_H-M 'P n m a'
_symmetry_Int_Tables_number 62
loop_
_symmetry_equiv_pos_as_xyz
'x,y,z'
'-x,-y,-z'
'-x+1/2,-y,z+1/2'
'x+1/2,y,-z+1/2'
'x+1/2,-y+1/2,-z+1/2'
'-x+1/2,y+1/2,z+1/2'
'-x,y+1/2,-z'
'x,-y+1/2,z'
loop_
_atom_site_label
_atom_site_fract_x
_atom_site_fract_y
_atom_site_fract_z
Pr1 0.093 0.250 0.159
Pr2 0.146 0.049 0.890
Pr3 0.231 0.250 0.531
Te1 0.063 0.579 0.635
Te2 0.080 0.750 0.274
N1 0.051 0.622 0.967
```

---

No. 3
Diffraction record for Pr2TmTe2N2. The powder XRD pattern is computed, not measured: it uses a DFT-relaxed cell (PBE, Alexandria) and CuKα.
Kinematic intensities with the Lorentz-polarization factor, no thermal factor.

Most intense lines, 2θ = 10–90°, by intensity:
33.9 deg, intensity 100.0, (1 0 5); 28.6 deg, intensity 77.9, (1 1 0); 54.1 deg, intensity 52.4, (2 1 5); 40.9 deg, intensity 34.7, (2 0 0); 84.5 deg, intensity 14.7, (3 2 5); 67.2 deg, intensity 14.0, (3 1 0); 70.1 deg, intensity 12.0, (3 0 5); 63.6 deg, intensity 11.6, (1 1 10); 59.3 deg, intensity 11.5, (2 2 0); 10.7 deg, intensity 10.0, (0 0 2)

Atomic structure:
```
data_Pr2TmTe2N2
_chemical_formula_sum 'Pr4 Tm2 Te4 N4'
_cell_length_a 4.408
_cell_length_b 4.408
_cell_length_c 16.553
_cell_angle_alpha 90.00
_cell_angle_beta 90.00
_cell_angle_gamma 90.00
_symmetry_space_group_name_H-M 'I 4/m m m'
_symmetry_Int_Tables_number 139
_symmetry_space_group_name_Hall '-I 4 2'
loop_
_atom_site_label
_atom_site_fract_x
_atom_site_fract_y
_atom_site_fract_z
Pr1 0.000 0.000 0.102
Tm1 0.000 0.000 0.500
Te1 0.000 0.000 0.316
N1 0.000 0.500 0.000
```

---

No. 4
Diffraction record for PrTh6N8. The powder XRD pattern is computed, not measured: it uses a DFT-relaxed cell (PBE, Alexandria) and CuKα.
Kinematic intensities with the Lorentz-polarization factor, no thermal factor.

Most intense lines, 2θ = 10–90°, by intensity:
30.1 deg, intensity 100.0, (2 2 2); 34.8 deg, intensity 69.2, (4 0 0); 50.1 deg, intensity 49.4, (4 4 0); 59.5 deg, intensity 47.4, (6 2 2); 84.0 deg, intensity 22.6, (8 4 0); 81.4 deg, intensity 20.2, (6 6 2); 62.5 deg, intensity 17.0, (4 4 4); 17.2 deg, intensity 13.7, (2 0 0); 24.4 deg, intensity 12.2, (2 2 0); 73.6 deg, intensity 7.9, (8 0 0)

Atomic structure:
```
data_PrTh6N8
_chemical_formula_sum 'Pr4 Th24 N32'
_cell_length_a 10.301
_cell_length_b 10.301
_cell_length_c 10.301
_cell_angle_alpha 90.00
_cell_angle_beta 90.00
_cell_angle_gamma 90.00
_symmetry_space_group_name_H-M 'F m -3 m'
_symmetry_Int_Tables_number 225
_symmetry_space_group_name_Hall '-F 4 2 3'
loop_
_atom_site_label
_atom_site_fract_x
_atom_site_fract_y
_atom_site_fract_z
Pr1 0.000 0.000 0.000
Th1 0.000 0.250 0.250
N1 0.000 0.000 0.240
N2 0.250 0.250 0.250
```